Entry 1:
# TbCd2Ag9
Theoretical XRD peak list, Cu Kα (weighted mean of Kα1 and Kα2). Input: DFT lattice parameters and positions (PBE).
Kinematic intensities with the Lorentz-polarization factor, no thermal factor.

Atomic structure:
```
TbCd2Ag9
1.0
2.795 1.613 9.066
-2.795 1.613 9.066
0.000 -3.227 9.066
Tb Cd Ag
1 2 9
Direct
0.000 0.000 0.000
0.143 0.143 0.143
0.857 0.857 0.857
0.081 0.587 0.587
0.334 0.334 0.334
0.413 0.413 0.919
0.413 0.919 0.413
0.500 0.500 0.500
0.587 0.081 0.587
0.587 0.587 0.081
0.666 0.666 0.666
0.919 0.413 0.413
```

Largest 6 diffraction maxima, by angle, 2θ from 10° to 80°:
32.03°, I 236
37.30°, I 268
37.81°, I 1000
39.77°, I 212
40.81°, I 250
60.94°, I 269

=====

Entry 2:
# Rb2BeCuF6
Theoretical XRD peak list, Cu Kα (weighted mean of Kα1 and Kα2). Input: DFT lattice parameters and positions (PBE).
Kinematic intensities with the Lorentz-polarization factor, no thermal factor.

Atomic structure:
```
Rb2BeCuF6
1.0
-2.803 2.803 4.487
2.803 -2.803 4.487
2.803 2.803 -4.487
Rb Be Cu F
2 1 1 6
Direct
0.250 0.750 0.500
0.750 0.250 0.500
0.000 0.000 0.000
0.500 0.500 0.000
0.212 0.212 0.424
0.212 0.788 0.000
0.293 0.293 0.000
0.707 0.707 0.000
0.788 0.212 0.000
0.788 0.788 0.576
```

Largest 6 diffraction maxima, by angle, 2θ from 10° to 80°:
30.08°, I 1000
31.93°, I 422
37.85°, I 446
40.19°, I 276
45.78°, I 376
55.76°, I 299

=====

Entry 3:
# ZnIn2Hg5
Theoretical XRD peak list, Cu Kα (weighted mean of Kα1 and Kα2). Input: DFT lattice parameters and positions (PBE).
Kinematic intensities with the Lorentz-polarization factor, no thermal factor.

Atomic structure:
```
ZnIn2Hg5
1.0
6.125 0.000 0.000
1.996 5.887 0.000
2.605 -0.501 5.788
Zn In Hg
1 2 5
Direct
0.000 0.000 0.000
0.211 0.379 0.500
0.731 0.394 0.432
0.162 0.509 0.992
0.285 0.870 0.525
0.498 0.977 0.997
0.687 0.439 0.950
0.809 0.883 0.463
```

Largest 6 diffraction maxima, by angle, 2θ from 10° to 80°:
29.78°, I 297
30.48°, I 519
30.89°, I 1000
33.03°, I 211
35.50°, I 221
41.89°, I 357

=====

Entry 4:
# CaLaGaCuO5
Theoretical XRD peak list, Cu Kα (weighted mean of Kα1 and Kα2). Input: DFT lattice parameters and positions (PBE).
Kinematic intensities with the Lorentz-polarization factor, no thermal factor.

Atomic structure:
```
CaLaGaCuO5
1.0
3.865 -8.059 0.000
3.865 8.059 0.000
-3.686 0.000 3.867
Ca La Ga Cu O
2 2 2 2 10
Direct
0.140 0.860 0.000
0.860 0.140 0.000
0.404 0.698 0.045
0.698 0.404 0.045
0.088 0.088 0.609
0.462 0.462 0.477
0.277 0.779 0.519
0.779 0.277 0.519
0.032 0.511 0.017
0.039 0.520 0.521
0.053 0.855 0.385
0.148 0.148 0.022
0.406 0.406 0.781
0.505 0.703 0.542
0.511 0.032 0.017
0.520 0.039 0.521
0.703 0.505 0.542
0.855 0.053 0.385
```

Largest 6 diffraction maxima, by angle, 2θ from 10° to 80°:
22.95°, I 257
32.05°, I 1000
32.11°, I 595
33.55°, I 380
47.04°, I 338
59.07°, I 241

=====

Entry 5:
# ThGa2Ni6
Theoretical XRD peak list, Cu Kα (weighted mean of Kα1 and Kα2). Input: DFT lattice parameters and positions (PBE).
Kinematic intensities with the Lorentz-polarization factor, no thermal factor.

Atomic structure:
```
ThGa2Ni6
1.0
0.000 5.282 5.282
5.282 0.000 5.282
5.282 5.282 0.000
Th Ga Ni
2 4 12
Direct
0.125 0.125 0.125
0.875 0.875 0.875
0.000 0.500 0.500
0.500 0.000 0.500
0.500 0.500 0.000
0.500 0.500 0.500
0.119 0.119 0.631
0.119 0.631 0.119
0.119 0.631 0.631
0.369 0.369 0.881
0.369 0.881 0.369
0.369 0.881 0.881
0.631 0.119 0.119
0.631 0.119 0.631
0.631 0.631 0.119
0.881 0.369 0.369
0.881 0.369 0.881
0.881 0.881 0.369
```

Largest 6 diffraction maxima, by angle, 2θ from 10° to 80°:
14.52°, I 209
28.02°, I 835
33.95°, I 535
44.57°, I 361
48.77°, I 1000
68.19°, I 193

=====

Entry 6:
# SrMgAlSn2
Theoretical XRD peak list, Cu Kα (weighted mean of Kα1 and Kα2). Input: DFT lattice parameters and positions (PBE).
Kinematic intensities with the Lorentz-polarization factor, no thermal factor.

Atomic structure:
```
SrMgAlSn2
1.0
-2.268 2.268 6.691
2.268 -2.268 6.691
2.268 2.268 -6.691
Sr Mg Al Sn
1 1 1 2
Direct
0.000 0.000 0.000
0.250 0.750 0.500
0.750 0.250 0.500
0.384 0.384 0.000
0.616 0.616 0.000
```

Largest 6 diffraction maxima, by angle, 2θ from 10° to 80°:
27.82°, I 752
28.06°, I 1000
30.92°, I 429
39.08°, I 726
39.75°, I 561
56.97°, I 491

=====

Entry 7:
# BeZn3Au4
Theoretical XRD peak list, Cu Kα (weighted mean of Kα1 and Kα2). Input: DFT lattice parameters and positions (PBE).
Kinematic intensities with the Lorentz-polarization factor, no thermal factor.

Atomic structure:
```
BeZn3Au4
1.0
2.990 0.000 0.000
0.000 2.990 0.000
0.000 0.000 13.847
Be Zn Au
1 3 4
Direct
0.000 0.000 0.000
0.000 0.000 0.239
0.000 0.000 0.500
0.000 0.000 0.761
0.500 0.500 0.105
0.500 0.500 0.370
0.500 0.500 0.630
0.500 0.500 0.895
```

Largest 6 diffraction maxima, by angle, 2θ from 10° to 80°:
25.73°, I 230
29.88°, I 379
39.84°, I 1000
42.77°, I 460
50.59°, I 157
76.34°, I 299

=====

Entry 8:
# Y2Ga5Ag5
Theoretical XRD peak list, Cu Kα (weighted mean of Kα1 and Kα2). Input: DFT lattice parameters and positions (PBE).
Kinematic intensities with the Lorentz-polarization factor, no thermal factor.

Atomic structure:
```
Y2Ga5Ag5
1.0
4.357 0.000 0.000
0.000 5.631 0.000
0.000 0.000 9.635
Y Ga Ag
2 5 5
Direct
0.000 0.000 0.000
0.000 0.500 0.500
0.000 0.000 0.330
0.000 0.000 0.670
0.000 0.500 0.166
0.000 0.500 0.834
0.500 0.000 0.500
0.500 0.252 0.256
0.500 0.252 0.744
0.500 0.500 0.000
0.500 0.748 0.256
0.500 0.748 0.744
```

Largest 6 diffraction maxima, by angle, 2θ from 10° to 80°:
36.98°, I 555
38.05°, I 636
38.31°, I 1000
41.45°, I 562
42.59°, I 617
56.75°, I 334

=====

Entry 9:
# DyY2Al2Zn2
Theoretical XRD peak list, Cu Kα (weighted mean of Kα1 and Kα2). Input: DFT lattice parameters and positions (PBE).
Kinematic intensities with the Lorentz-polarization factor, no thermal factor.

Atomic structure:
```
DyY2Al2Zn2
1.0
2.246 1.297 9.161
-2.246 1.297 9.161
0.000 -2.594 9.161
Dy Y Al Zn
1 2 2 2
Direct
0.000 0.000 0.000
0.127 0.127 0.127
0.873 0.873 0.873
0.265 0.265 0.265
0.735 0.735 0.735
0.396 0.396 0.396
0.604 0.604 0.604
```

Largest 6 diffraction maxima, by angle, 2θ from 10° to 80°:
23.09°, I 346
32.40°, I 637
34.84°, I 857
40.15°, I 1000
54.19°, I 236
65.77°, I 345

=====

Entry 10:
# NpSi2Pt5
Theoretical XRD peak list, Cu Kα (weighted mean of Kα1 and Kα2). Input: DFT lattice parameters and positions (PBE).
Kinematic intensities with the Lorentz-polarization factor, no thermal factor.

Atomic structure:
```
NpSi2Pt5
1.0
-1.967 3.533 4.850
1.967 -3.533 4.850
1.967 3.533 -4.850
Np Si Pt
1 2 5
Direct
0.000 0.000 0.000
0.251 0.751 0.500
0.749 0.249 0.500
0.152 0.352 0.799
0.447 0.648 0.799
0.500 0.000 0.500
0.553 0.352 0.201
0.848 0.648 0.201
```

Largest 6 diffraction maxima, by angle, 2θ from 10° to 80°:
31.32°, I 317
35.38°, I 1000
35.95°, I 981
45.36°, I 400
46.14°, I 294
66.70°, I 258

=====

Entry 11:
# PuTh3C8
Theoretical XRD peak list, Cu Kα (weighted mean of Kα1 and Kα2). Input: DFT lattice parameters and positions (PBE).
Kinematic intensities with the Lorentz-polarization factor, no thermal factor.

Atomic structure:
```
PuTh3C8
1.0
0.000 4.965 3.991
4.959 0.000 3.991
4.959 4.965 0.000
Pu Th C
1 3 8
Direct
0.000 0.000 0.000
0.250 0.250 0.250
0.500 0.500 0.500
0.750 0.750 0.750
0.080 0.399 0.601
0.131 0.620 0.869
0.380 0.868 0.132
0.399 0.080 0.920
0.600 0.918 0.400
0.620 0.131 0.380
0.868 0.380 0.620
0.918 0.600 0.082
```

Largest 6 diffraction maxima, by angle, 2θ from 10° to 80°:
25.39°, I 594
28.71°, I 1000
36.18°, I 157
36.23°, I 156
46.84°, I 581
52.77°, I 206

=====

Entry 12:
# ZnSn2Ge2Pt7
Theoretical XRD peak list, Cu Kα (weighted mean of Kα1 and Kα2). Input: DFT lattice parameters and positions (PBE).
Kinematic intensities with the Lorentz-polarization factor, no thermal factor.

Atomic structure:
```
ZnSn2Ge2Pt7
1.0
2.741 -2.744 0.000
2.741 2.744 0.000
-2.662 0.000 15.494
Zn Sn Ge Pt
1 2 2 7
Direct
0.000 0.000 0.000
0.213 0.213 0.426
0.787 0.787 0.574
0.386 0.386 0.764
0.614 0.614 0.236
0.065 0.565 0.133
0.304 0.304 0.607
0.435 0.935 0.867
0.500 0.500 0.000
0.565 0.065 0.133
0.696 0.696 0.393
0.935 0.435 0.867
```

Largest 6 diffraction maxima, by angle, 2θ from 10° to 80°:
22.96°, I 481
33.18°, I 762
37.09°, I 674
40.26°, I 327
44.05°, I 749
46.86°, I 1000